Entry 1:
PmSbPt2: simulated powder XRD pattern (λ = 1.5418 Å (Cu Kα)), based on a structure optimized by DFT (PBE).
Neutral-atom scattering factors, no anomalous dispersion.

Largest 6 diffraction maxima, by angle, 2θ = 10–90°:
2theta	I (rel.)
17.85	22
33.13	100
37.88	33
39.72	94
52.65	27
67.92	25

Crystal structure
```
data_PmSbPt2
_cell_length_a 4.5387
_cell_length_b 4.5387
_cell_length_c 14.9046
_cell_angle_alpha 90.00
_cell_angle_beta 90.00
_cell_angle_gamma 120.00
_symmetry_space_group_name_H-M 'R -3 m'
_symmetry_Int_Tables_number 166
_symmetry_space_group_name_Hall '-R 3 2"'
loop_
_atom_site_label
_atom_site_type_symbol
_atom_site_fract_x
_atom_site_fract_y
_atom_site_fract_z
Pm1 Pm 0.0000 0.0000 0.0000
Sb1 Sb 0.0000 0.0000 0.5000
Pt1 Pt 0.0000 0.0000 0.2166
```


Entry 2:
CrP5Pb2: simulated powder XRD pattern (λ = 1.5418 Å (Cu Kα)), based on a structure optimized by DFT (PBE).
Neutral-atom scattering factors, no anomalous dispersion.

Largest 6 diffraction maxima, by angle, 2θ = 10–90°:
2theta	I (rel.)
20.95	86
25.41	100
26.05	77
33.17	59
39.12	42
40.43	61

Crystal structure
```
data_CrP5Pb2
_cell_length_a 16.481
_cell_length_b 5.246
_cell_length_c 10.329
_cell_angle_alpha 90.00
_cell_angle_beta 124.81
_cell_angle_gamma 90.00
_symmetry_space_group_name_H-M 'C 1 2/m 1'
_symmetry_Int_Tables_number 12
loop_
_symmetry_equiv_pos_as_xyz
'x,y,z'
'-x,-y,-z'
'-x,y,-z'
'x,-y,z'
'x+1/2,y+1/2,z'
'-x+1/2,-y+1/2,-z'
'-x+1/2,y+1/2,-z'
'x+1/2,-y+1/2,z'
loop_
_atom_site_label
_atom_site_type_symbol
_atom_site_fract_x
_atom_site_fract_y
_atom_site_fract_z
Cr1 Cr 0.154 0.000 0.180
P1 P 0.000 0.301 0.500
P2 P 0.017 0.000 0.913
P3 P 0.204 0.289 0.374
P4 P 0.249 0.000 0.086
Pb1 Pb 0.043 0.500 0.801
Pb2 Pb 0.178 0.000 0.749
```


Entry 3:
Pr7Rh2Au2: simulated powder XRD pattern (λ = 1.5418 Å (Cu Kα)), based on a structure optimized by DFT (PBE).
Neutral-atom scattering factors, no anomalous dispersion.

Largest 6 diffraction maxima, by angle, 2θ = 10–90°:
2theta	I (rel.)
29.08	34
29.18	42
32.71	100
33.21	36
37.03	42
38.10	37

Crystal structure
```
data_Pr7Rh2Au2
_cell_length_a 4.021
_cell_length_b 16.158
_cell_length_c 9.865
_cell_angle_alpha 90.00
_cell_angle_beta 90.00
_cell_angle_gamma 90.00
_symmetry_space_group_name_H-M 'I m m 2'
_symmetry_Int_Tables_number 44
loop_
_symmetry_equiv_pos_as_xyz
'x,y,z'
'-x,-y,z'
'-x,y,z'
'x,-y,z'
'x+1/2,y+1/2,z+1/2'
'-x+1/2,-y+1/2,z+1/2'
'-x+1/2,y+1/2,z+1/2'
'x+1/2,-y+1/2,z+1/2'
loop_
_atom_site_label
_atom_site_type_symbol
_atom_site_fract_x
_atom_site_fract_y
_atom_site_fract_z
Pr1 Pr 0.000 0.000 0.000
Pr2 Pr 0.000 0.106 0.374
Pr3 Pr 0.000 0.311 0.592
Pr4 Pr 0.000 0.384 0.214
Rh1 Rh 0.000 0.000 0.626
Rh2 Rh 0.000 0.500 0.709
Au1 Au 0.000 0.237 0.881
```


Entry 4:
ZrV2: simulated powder XRD pattern (λ = 1.5418 Å (Cu Kα)), based on a structure optimized by DFT (PBE).
Neutral-atom scattering factors, no anomalous dispersion.

Largest 6 diffraction maxima, by angle, 2θ = 10–90°:
2theta	I (rel.)
34.08	53
38.04	64
40.60	100
41.08	49
42.96	23
63.63	25

Crystal structure
```
data_ZrV2
_cell_length_a 5.2619
_cell_length_b 5.2619
_cell_length_c 16.6062
_cell_angle_alpha 90.00
_cell_angle_beta 90.00
_cell_angle_gamma 120.00
_symmetry_space_group_name_H-M 'P 63/m m c'
_symmetry_Int_Tables_number 194
_symmetry_space_group_name_Hall '-P 6c 2c'
loop_
_atom_site_label
_atom_site_type_symbol
_atom_site_fract_x
_atom_site_fract_y
_atom_site_fract_z
Zr1 Zr 0.0000 0.0000 0.0940
Zr2 Zr 0.3333 0.6667 0.1560
V1 V 0.0000 0.5000 0.0000
V2 V 0.1640 0.3279 0.7500
V3 V 0.3333 0.6667 0.6268
```


Entry 5:
Sn2H6PdRh: simulated powder XRD pattern (λ = 1.5418 Å (Cu Kα)), based on a structure optimized by DFT (PBE).
Neutral-atom scattering factors, no anomalous dispersion.

Largest 6 diffraction maxima, by angle, 2θ = 10–90°:
2theta	I (rel.)
33.44	32
33.71	65
33.89	100
48.62	13
48.83	13
60.73	25

Crystal structure
```
data_Sn2H6PdRh
_cell_length_a 7.491
_cell_length_b 7.461
_cell_length_c 5.297
_cell_angle_alpha 90.00
_cell_angle_beta 134.32
_cell_angle_gamma 90.00
_symmetry_space_group_name_H-M 'C 1 m 1'
_symmetry_Int_Tables_number 8
loop_
_symmetry_equiv_pos_as_xyz
'x,y,z'
'x,-y,z'
'x+1/2,y+1/2,z'
'x+1/2,-y+1/2,z'
loop_
_atom_site_label
_atom_site_type_symbol
_atom_site_fract_x
_atom_site_fract_y
_atom_site_fract_z
Sn1 Sn 0.000 0.248 0.000
H1 H 0.035 0.241 0.555
H2 H 0.280 0.000 0.555
H3 H 0.288 0.000 0.063
H4 H 0.299 0.500 0.556
H5 H 0.318 0.500 0.119
Pd1 Pd 0.045 0.500 0.570
Rh1 Rh 0.053 0.000 0.585
```


Entry 6:
CaAcCd17: simulated powder XRD pattern (λ = 1.5418 Å (Cu Kα)), based on a structure optimized by DFT (PBE).
Neutral-atom scattering factors, no anomalous dispersion.

Largest 6 diffraction maxima, by angle, 2θ = 10–90°:
2theta	I (rel.)
30.31	33
35.14	56
35.27	100
35.65	34
35.99	30
39.57	63

Crystal structure
```
data_CaAcCd17
_cell_length_a 10.2143
_cell_length_b 10.2143
_cell_length_c 15.1109
_cell_angle_alpha 90.00
_cell_angle_beta 90.00
_cell_angle_gamma 120.00
_symmetry_space_group_name_H-M 'R 3 m'
_symmetry_Int_Tables_number 160
_symmetry_space_group_name_Hall 'R 3 -2"'
loop_
_atom_site_label
_atom_site_type_symbol
_atom_site_fract_x
_atom_site_fract_y
_atom_site_fract_z
Ca1 Ca 0.0000 0.0000 0.0000
Ac1 Ac 0.0000 0.0000 0.6677
Cd1 Cd 0.0000 0.0000 0.2276
Cd2 Cd 0.0000 0.0000 0.4287
Cd3 Cd 0.0365 0.3667 0.9995
Cd4 Cd 0.1671 0.3341 0.8127
Cd5 Cd 0.1734 0.3469 0.1691
Cd6 Cd 0.1807 0.3615 0.5174
```


Entry 7:
DyHo7Tm12: simulated powder XRD pattern (λ = 1.5418 Å (Cu Kα)), based on a structure optimized by DFT (PBE).
Neutral-atom scattering factors, no anomalous dispersion.

Largest 6 diffraction maxima, by angle, 2θ = 10–90°:
2theta	I (rel.)
27.81	20
30.21	63
31.28	43
32.40	100
40.07	31
42.95	34

Crystal structure
```
data_DyHo7Tm12
_cell_length_a 12.6255
_cell_length_b 12.6255
_cell_length_c 13.4210
_cell_angle_alpha 90.00
_cell_angle_beta 90.00
_cell_angle_gamma 120.00
_symmetry_space_group_name_H-M 'R -3'
_symmetry_Int_Tables_number 148
_symmetry_space_group_name_Hall '-R 3'
loop_
_atom_site_label
_atom_site_type_symbol
_atom_site_fract_x
_atom_site_fract_y
_atom_site_fract_z
Dy1 Dy 0.0000 0.0000 0.0000
Ho1 Ho 0.0000 0.0000 0.5000
Ho2 Ho 0.0686 0.2005 0.8477
Tm1 Tm 0.0010 0.5644 0.2497
Tm2 Tm 0.0685 0.8680 0.3484
```


Entry 8:
Ca2CePmHg4: simulated powder XRD pattern (λ = 1.5418 Å (Cu Kα)), based on a structure optimized by DFT (PBE).
Neutral-atom scattering factors, no anomalous dispersion.

Largest 6 diffraction maxima, by angle, 2θ = 10–90°:
2theta	I (rel.)
23.39	16
33.31	100
47.83	18
59.53	38
69.96	12
79.73	17

Crystal structure
```
data_Ca2CePmHg4
_cell_length_a 5.3794
_cell_length_b 5.3794
_cell_length_c 26.3470
_cell_angle_alpha 90.00
_cell_angle_beta 90.00
_cell_angle_gamma 120.00
_symmetry_space_group_name_H-M 'R -3 m'
_symmetry_Int_Tables_number 166
_symmetry_space_group_name_Hall '-R 3 2"'
loop_
_atom_site_label
_atom_site_type_symbol
_atom_site_fract_x
_atom_site_fract_y
_atom_site_fract_z
Ca1 Ca 0.0000 0.0000 0.2503
Ce1 Ce 0.0000 0.0000 0.5000
Pm1 Pm 0.0000 0.0000 0.0000
Hg1 Hg 0.0000 0.0000 0.1246
Hg2 Hg 0.0000 0.0000 0.3750
```


Entry 9:
HgHPd6Pb2: simulated powder XRD pattern (λ = 1.5418 Å (Cu Kα)), based on a structure optimized by DFT (PBE).
Neutral-atom scattering factors, no anomalous dispersion.

Largest 6 diffraction maxima, by angle, 2θ = 10–90°:
2theta	I (rel.)
25.57	49
34.51	56
37.23	73
38.60	67
40.93	63
41.86	100

Crystal structure
```
data_HgHPd6Pb2
_cell_length_a 9.683
_cell_length_b 5.685
_cell_length_c 7.022
_cell_angle_alpha 90.00
_cell_angle_beta 114.01
_cell_angle_gamma 90.00
_symmetry_space_group_name_H-M 'C 1 m 1'
_symmetry_Int_Tables_number 8
loop_
_symmetry_equiv_pos_as_xyz
'x,y,z'
'x,-y,z'
'x+1/2,y+1/2,z'
'x+1/2,-y+1/2,z'
loop_
_atom_site_label
_atom_site_type_symbol
_atom_site_fract_x
_atom_site_fract_y
_atom_site_fract_z
Hg1 Hg 0.000 0.000 0.000
H1 H 0.000 0.500 0.501
Pd1 Pd 0.084 0.247 0.374
Pd2 Pd 0.198 0.500 0.756
Pd3 Pd 0.303 0.000 0.244
Pd4 Pd 0.416 0.253 0.626
Pb1 Pb 0.233 0.000 0.787
Pb2 Pb 0.267 0.500 0.213
```


Entry 10:
Sr4In3Ir2: simulated powder XRD pattern (λ = 1.5418 Å (Cu Kα)), based on a structure optimized by DFT (PBE).
Neutral-atom scattering factors, no anomalous dispersion.

Largest 6 diffraction maxima, by angle, 2θ = 10–90°:
2theta	I (rel.)
11.06	53
12.03	100
31.98	57
33.60	60
33.94	53
36.69	62

Crystal structure
```
data_Sr4In3Ir2
_cell_length_a 17.051
_cell_length_b 4.312
_cell_length_c 7.837
_cell_angle_alpha 90.00
_cell_angle_beta 110.16
_cell_angle_gamma 90.00
_symmetry_space_group_name_H-M 'C 1 2/m 1'
_symmetry_Int_Tables_number 12
loop_
_symmetry_equiv_pos_as_xyz
'x,y,z'
'-x,-y,-z'
'-x,y,-z'
'x,-y,z'
'x+1/2,y+1/2,z'
'-x+1/2,-y+1/2,-z'
'-x+1/2,y+1/2,-z'
'x+1/2,-y+1/2,z'
loop_
_atom_site_label
_atom_site_type_symbol
_atom_site_fract_x
_atom_site_fract_y
_atom_site_fract_z
Sr1 Sr 0.076 0.000 0.361
Sr2 Sr 0.225 0.500 0.175
In1 In 0.000 0.500 0.000
In2 In 0.102 0.500 0.723
Ir1 Ir 0.094 0.000 0.941
```


Entry 11:
Sc2BeB2Rh5: simulated powder XRD pattern (λ = 1.5418 Å (Cu Kα)), based on a structure optimized by DFT (PBE).
Neutral-atom scattering factors, no anomalous dispersion.

Largest 6 diffraction maxima, by angle, 2θ = 10–90°:
2theta	I (rel.)
29.82	79
30.64	49
37.08	55
40.30	99
43.28	100
46.68	58

Crystal structure
```
data_Sc2BeB2Rh5
_cell_length_a 9.228
_cell_length_b 9.228
_cell_length_c 2.996
_cell_angle_alpha 90.00
_cell_angle_beta 90.00
_cell_angle_gamma 90.00
_symmetry_space_group_name_H-M 'P 4/m b m'
_symmetry_Int_Tables_number 127
_symmetry_space_group_name_Hall '-P 4 2ab'
loop_
_atom_site_label
_atom_site_type_symbol
_atom_site_fract_x
_atom_site_fract_y
_atom_site_fract_z
Sc1 Sc 0.175 0.325 0.000
Be1 Be 0.000 0.000 0.000
B1 B 0.128 0.628 0.000
Rh1 Rh 0.000 0.500 0.500
Rh2 Rh 0.069 0.791 0.500
```


Entry 12:
TbHo2Cl6: simulated powder XRD pattern (λ = 1.5418 Å (Cu Kα)), based on a structure optimized by DFT (PBE).
Neutral-atom scattering factors, no anomalous dispersion.

Largest 6 diffraction maxima, by angle, 2θ = 10–90°:
2theta	I (rel.)
15.57	42
25.54	100
30.01	37
36.43	35
39.80	21
45.07	58

Crystal structure
```
data_TbHo2Cl6
_cell_length_a 6.9649
_cell_length_b 6.9649
_cell_length_c 17.1386
_cell_angle_alpha 90.00
_cell_angle_beta 90.00
_cell_angle_gamma 120.00
_symmetry_space_group_name_H-M 'R 3'
_symmetry_Int_Tables_number 146
_symmetry_space_group_name_Hall 'R 3'
loop_
_atom_site_label
_atom_site_type_symbol
_atom_site_fract_x
_atom_site_fract_y
_atom_site_fract_z
Tb1 Tb 0.0000 0.0000 0.0000
Ho1 Ho 0.0000 0.0000 0.5425
Ho2 Ho 0.0000 0.0000 0.7598
Cl1 Cl 0.0309 0.2978 0.8873
Cl2 Cl 0.0683 0.7002 0.0806
```